# CsPa2OsN5
Simulated X-ray diffraction stick pattern, Cu Kα (weighted mean of Kα1 and Kα2). Input: a crystal structure in Alexandria, relaxed with PBE.

Principal peaks in the range 15° ≤ 2θ ≤ 90°, sorted by position:
| two_theta | d [Å] | I (rel.) |
| --- | --- | --- |
| 30.25 | 2.954 | 100.0 |
| 30.57 | 2.925 | 23.9 |
| 37.18 | 2.418 | 18.7 |
| 37.36 | 2.407 | 20.0 |
| 48.87 | 1.864 | 17.2 |
| 54.14 | 1.694 | 15.6 |
| 55.99 | 1.642 | 13.8 |
| 60.66 | 1.527 | 9.7 |

Atomic structure:
```
CsPa2OsN5
1.0
-3.4203 3.4203 5.8495
3.4203 -3.4203 5.8495
3.4203 3.4203 -5.8495
Cs Pa Os N
2 4 2 10
Direct
0.2500 0.2500 0.0000 Cs
0.7500 0.7500 0.0000 Cs
0.1930 0.6930 0.8860 Pa
0.3070 0.1930 0.5000 Pa
0.6930 0.8070 0.5000 Pa
0.8070 0.3070 0.1140 Pa
0.2500 0.7500 0.5000 Os
0.7500 0.2500 0.5000 Os
0.0000 0.0000 0.0000 N
0.0066 0.2435 0.5000 N
0.2435 0.7435 0.2368 N
0.2565 0.4934 0.5000 N
0.4934 0.9934 0.2368 N
0.5000 0.5000 0.0000 N
0.5066 0.0066 0.7632 N
0.7435 0.5066 0.5000 N
0.7565 0.2565 0.7632 N
0.9934 0.7565 0.5000 N
```